# Cd2CoNi2O6
Computed PXRD pattern, copper Kα. Input: the GGA+U geometry in Alexandria.
Lines closer than 0.1° are merged.

Structure:
a b c (Å): 5.1764 5.1764 5.6258
angles (deg): 99.01 99.01 118.40
Fractional positions:
Cd1 0.1705 0.8295 0.0000
Cd2 0.8295 0.1705 0.0000
Co1 0.0000 0.0000 0.5000
Ni1 0.3373 0.6627 0.5000
Ni2 0.6627 0.3373 0.5000
O1 0.0529 0.3713 0.7011
O2 0.2393 0.2393 0.3038
O3 0.3713 0.0529 0.7011
O4 0.6287 0.9471 0.2989
O5 0.7607 0.7607 0.6962
O6 0.9471 0.6287 0.2989

The 8 most intense peaks (2θ = 10–90°), in order of rising 2θ:
| 2θ (°) | intensity |
| --- | --- |
| 20.23 | 34 |
| 33.46 | 42 |
| 35.58 | 33 |
| 36.53 | 60 |
| 40.95 | 52 |
| 41.44 | 100 |
| 58.27 | 31 |
| 61.05 | 30 |